Structure and theoretical powder XRD pattern of CaCe3V4O16 (DFT lattice parameters and positions (PBE+U); Cu Ka).
Neutral-atom scattering factors, no anomalous dispersion.

The 10 most intense peaks (10° ≤ 2θ ≤ 90°), by angle:
| 2θ (°) | I_rel | index |
| --- | --- | --- |
| 18.24 | 23.9 | 1 0 1 |
| 24.24 | 100.0 | 2 0 0 |
| 32.53 | 66.0 | 1 1 2 |
| 34.54 | 18.2 | 2 2 0 |
| 39.34 | 13.0 | 3 0 1 |
| 48.18 | 57.4 | 3 1 2 |
| 49.66 | 15.8 | 4 0 0 |
| 56.00 | 12.2 | 4 2 0 |
| 60.63 | 17.4 | 3 3 2 |
| 68.14 | 12.3 | 2 2 4 |

Crystal structure
```
data_CaCe3V4O16
_symmetry_space_group_name_H-M 'P -4 m 2'
_symmetry_Int_Tables_number 115
_cell_length_a 7.3439
_cell_length_b 7.3439
_cell_length_c 6.4931
_cell_angle_alpha 90.00
_cell_angle_beta 90.00
_cell_angle_gamma 90.00
loop_
_symmetry_equiv_pos_as_xyz
'x,y,z'
'y,-x,-z'
'-x,-y,z'
'-y,x,-z'
'-x,y,z'
'-y,-x,-z'
'x,-y,z'
'y,x,-z'
loop_
_atom_site_label
_atom_site_fract_x
_atom_site_fract_y
_atom_site_fract_z
Ca1 0.0000 0.0000 0.0000
Ce1 0.0000 0.5000 0.7487
Ce2 0.5000 0.5000 0.5000
V1 0.0000 0.0000 0.5000
V2 0.0000 0.5000 0.2475
V3 0.5000 0.5000 0.0000
O1 0.0000 0.1866 0.6662
O2 0.0000 0.3214 0.0755
O3 0.1839 0.5000 0.4228
O4 0.3186 0.5000 0.8266
```